Structure and theoretical powder XRD pattern of La3Si2 (DFT lattice parameters and positions (GGA-PBE); Cu Ka).
Intensities are scaled so that the largest is 100.

Top 6 peaks for 2θ = 5–70°, in order of rising 2θ:
d/Å  Rel. int.
4.097  18.9
3.312  31.8
2.909  100.0
2.771  30.4
2.576  30.9
2.290  26.3

Structural model:
```
data_La3Si2
_symmetry_space_group_name_H-M 'P 1'
_symmetry_Int_Tables_number 1
_cell_length_a 6.0956
_cell_length_b 6.0956
_cell_length_c 6.0956
_cell_angle_alpha 135.85
_cell_angle_beta 114.18
_cell_angle_gamma 82.69
loop_
_symmetry_equiv_pos_as_xyz
'x,y,z'
loop_
_atom_site_label
_atom_site_type_symbol
_atom_site_fract_x
_atom_site_fract_y
_atom_site_fract_z
La1 La 0.0000 0.0000 0.0000
La2 La 0.2961 0.7961 0.5000
La3 La 0.7039 0.2039 0.5000
Si1 Si 0.3135 0.5000 0.8135
Si2 Si 0.6865 0.5000 0.1865
```